The following is a computed X-ray diffraction stick pattern of Pa3TcRu. It was derived from DFT lattice parameters and positions (GGA-PBE), using Cu Kα X-rays.
No peak broadening, texture or thermal motion is included.

Top 10 peaks for 2θ = 5–70°, sorted by position:
d 2.960, 30.2 deg, rel. 42.0
d 2.882, 31.0 deg, rel. 44.1
d 2.832, 31.6 deg, rel. 100.0
d 2.659, 33.7 deg, rel. 60.6
d 2.591, 34.6 deg, rel. 61.0
d 2.451, 36.7 deg, rel. 64.8
d 2.426, 37.1 deg, rel. 24.9
d 2.334, 38.6 deg, rel. 47.6
d 2.258, 39.9 deg, rel. 41.8
d 1.477, 62.9 deg, rel. 26.7

Crystal structure
```
data_Pa3TcRu
_chemical_formula_sum 'Pa12 Tc4 Ru4'
_space_group_name_H-M_alt 'P 1 21/c 1'
_space_group_IT_number 14
_cell_length_a 8.418
_cell_length_b 5.763
_cell_length_c 10.406
_cell_angle_alpha 90.00
_cell_angle_beta 120.23
_cell_angle_gamma 90.00
loop_
_space_group_symop_operation_xyz
'x,y,z'
'-x,-y,-z'
'-x,y+1/2,-z+1/2'
'x,-y+1/2,z+1/2'
loop_
_atom_site_label
_atom_site_fract_x
_atom_site_fract_y
_atom_site_fract_z
_atom_site_occupancy
Pa1 0.132 0.017 0.307 1
Pa2 0.299 0.550 0.231 1
Pa3 0.306 0.032 0.047 1
Tc1 0.471 0.149 0.393 1
Ru1 0.006 0.249 0.494 1
```



The following is a computed X-ray diffraction stick pattern of BaAc2Re2N6. It was derived from DFT lattice parameters and positions (GGA-PBE), using Cu Kα X-rays.
No peak broadening, texture or thermal motion is included.

Top 10 peaks for 2θ = 5–70°, sorted by position:
d 5.534, 16.0 deg, rel. 57.1
d 3.678, 24.2 deg, rel. 41.4
d 3.388, 26.3 deg, rel. 46.7
d 3.323, 26.8 deg, rel. 100.0
d 3.172, 28.1 deg, rel. 39.3
d 3.122, 28.6 deg, rel. 84.0
d 2.929, 30.5 deg, rel. 42.6
d 2.706, 33.1 deg, rel. 31.0
d 2.350, 38.3 deg, rel. 28.3
d 1.846, 49.4 deg, rel. 27.3

Crystal structure
```
data_BaAc2Re2N6
_chemical_formula_sum 'Ba1 Ac2 Re2 N6'
_space_group_name_H-M_alt 'P -1'
_space_group_IT_number 2
_cell_length_a 6.274
_cell_length_b 6.317
_cell_length_c 6.998
_cell_angle_alpha 69.91
_cell_angle_beta 68.15
_cell_angle_gamma 63.76
loop_
_space_group_symop_operation_xyz
'x,y,z'
'-x,-y,-z'
loop_
_atom_site_label
_atom_site_fract_x
_atom_site_fract_y
_atom_site_fract_z
_atom_site_occupancy
Ba1 0.000 0.000 0.000 1
Ac1 0.262 0.327 0.274 1
Re1 0.417 0.382 0.686 1
N1 0.154 0.333 0.661 1
N2 0.307 0.574 0.875 1
N3 0.331 0.892 0.260 1
```



The following is a computed X-ray diffraction stick pattern of Rb4Np3ScSe8. It was derived from DFT lattice parameters and positions (GGA-PBE), using Cu Kα X-rays.
No peak broadening, texture or thermal motion is included.

Top 10 peaks for 2θ = 5–70°, sorted by position:
d 8.172, 10.8 deg, rel. 44.0
d 3.650, 24.4 deg, rel. 33.0
d 3.332, 26.8 deg, rel. 30.9
d 2.722, 32.9 deg, rel. 100.0
d 2.183, 41.4 deg, rel. 14.8
d 2.107, 42.9 deg, rel. 37.3
d 2.041, 44.4 deg, rel. 14.1
d 1.782, 51.3 deg, rel. 26.3
d 1.666, 55.1 deg, rel. 23.0
d 1.361, 69.0 deg, rel. 10.9

Crystal structure
```
data_Rb4Np3ScSe8
_chemical_formula_sum 'Rb4 Np3 Sc1 Se8'
_space_group_name_H-M_alt 'P -3 m 1'
_space_group_IT_number 164
_space_group_name_Hall '-P 3 2"'
_cell_length_a 8.4282
_cell_length_b 8.4282
_cell_length_c 8.1724
_cell_angle_alpha 90.00
_cell_angle_beta 90.00
_cell_angle_gamma 120.00
loop_
_atom_site_label
_atom_site_fract_x
_atom_site_fract_y
_atom_site_fract_z
_atom_site_occupancy
Rb1 0.0000 0.0000 0.0000 1
Rb2 0.0000 0.5000 0.0000 1
Np1 0.0000 0.5000 0.5000 1
Sc1 0.0000 0.0000 0.5000 1
Se1 0.1602 0.3205 0.3095 1
Se2 0.3333 0.6667 0.6965 1
```



The following is a computed X-ray diffraction stick pattern of Na3Sb5Pt6. It was derived from DFT lattice parameters and positions (GGA-PBE), using Cu Kα X-rays.
No peak broadening, texture or thermal motion is included.

Top 10 peaks for 2θ = 5–70°, sorted by position:
d 5.662, 15.7 deg, rel. 78.1
d 4.008, 22.2 deg, rel. 27.5
d 3.956, 22.5 deg, rel. 27.8
d 2.656, 33.7 deg, rel. 100.0
d 2.143, 42.2 deg, rel. 26.3
d 2.111, 42.8 deg, rel. 32.9
d 2.061, 43.9 deg, rel. 86.5
d 2.003, 45.3 deg, rel. 17.2
d 1.504, 61.7 deg, rel. 17.1
d 1.453, 64.1 deg, rel. 13.3

Crystal structure
```
data_Na3Sb5Pt6
_chemical_formula_sum 'Na6 Sb10 Pt12'
_space_group_name_H-M_alt 'P m m n'
_space_group_IT_number 59
_cell_length_a 4.221
_cell_length_b 12.856
_cell_length_c 11.325
_cell_angle_alpha 90.00
_cell_angle_beta 90.00
_cell_angle_gamma 90.00
loop_
_space_group_symop_operation_xyz
'x,y,z'
'-x,-y,-z'
'-x+1/2,-y+1/2,z'
'x+1/2,y+1/2,-z'
'x+1/2,-y,-z'
'-x+1/2,y,z'
'-x,y+1/2,-z'
'x,-y+1/2,z'
loop_
_atom_site_label
_atom_site_fract_x
_atom_site_fract_y
_atom_site_fract_z
_atom_site_occupancy
Na1 0.250 0.083 0.242 1
Na2 0.250 0.750 0.230 1
Sb1 0.250 0.082 0.641 1
Sb2 0.250 0.616 0.981 1
Sb3 0.250 0.750 0.656 1
Pt1 0.250 0.068 0.869 1
Pt2 0.250 0.250 0.010 1
Pt3 0.250 0.250 0.493 1
Pt4 0.250 0.588 0.503 1
```



The following is a computed X-ray diffraction stick pattern of Hg2Pd3S2. It was derived from DFT lattice parameters and positions (GGA-PBE), using Cu Kα X-rays.
No peak broadening, texture or thermal motion is included.

Top 10 peaks for 2θ = 5–70°, sorted by position:
d 5.825, 15.2 deg, rel. 21.1
d 4.119, 21.6 deg, rel. 34.5
d 3.363, 26.5 deg, rel. 21.7
d 2.912, 30.7 deg, rel. 71.7
d 2.605, 34.4 deg, rel. 16.5
d 2.378, 37.8 deg, rel. 100.0
d 2.059, 44.0 deg, rel. 64.3
d 1.842, 49.5 deg, rel. 20.7
d 1.681, 54.6 deg, rel. 27.7
d 1.456, 63.9 deg, rel. 39.7

Crystal structure
```
data_Hg2Pd3S2
_chemical_formula_sum 'Hg8 Pd12 S8'
_space_group_name_H-M_alt 'I 21 3'
_space_group_IT_number 199
_space_group_name_Hall 'I 2b 2c 3'
_cell_length_a 8.237
_cell_length_b 8.237
_cell_length_c 8.237
_cell_angle_alpha 90.00
_cell_angle_beta 90.00
_cell_angle_gamma 90.00
loop_
_atom_site_label
_atom_site_fract_x
_atom_site_fract_y
_atom_site_fract_z
_atom_site_occupancy
Hg1 0.002 0.498 0.502 1
Pd1 0.000 0.250 0.266 1
S1 0.220 0.280 0.720 1
```



The following is a computed X-ray diffraction stick pattern of PmGa6S8. It was derived from DFT lattice parameters and positions (GGA-PBE), using Cu Kα X-rays.
No peak broadening, texture or thermal motion is included.

Top 10 peaks for 2θ = 5–70°, sorted by position:
d 4.651, 19.1 deg, rel. 46.6
d 3.143, 28.4 deg, rel. 100.0
d 2.962, 30.2 deg, rel. 22.0
d 2.818, 31.8 deg, rel. 44.7
d 2.326, 38.7 deg, rel. 28.3
d 2.272, 39.7 deg, rel. 36.9
d 2.128, 42.5 deg, rel. 24.1
d 2.109, 42.9 deg, rel. 22.8
d 2.069, 43.7 deg, rel. 25.3
d 1.812, 50.3 deg, rel. 24.2

Crystal structure
```
data_PmGa6S8
_chemical_formula_sum 'Pm3 Ga18 S24'
_space_group_name_H-M_alt 'R -3'
_space_group_IT_number 148
_space_group_name_Hall '-R 3'
_cell_length_a 10.0197
_cell_length_b 10.0197
_cell_length_c 11.0187
_cell_angle_alpha 90.00
_cell_angle_beta 90.00
_cell_angle_gamma 120.00
loop_
_atom_site_label
_atom_site_fract_x
_atom_site_fract_y
_atom_site_fract_z
_atom_site_occupancy
Pm1 0.0000 0.0000 0.0000 1
Ga1 0.0735 0.2173 0.5989 1
S1 0.0000 0.0000 0.2687 1
S2 0.0065 0.7158 0.9200 1
```



The following is a computed X-ray diffraction stick pattern of Tb2Pr5Nd2. It was derived from DFT lattice parameters and positions (GGA-PBE), using Cu Kα X-rays.
No peak broadening, texture or thermal motion is included.

Top 9 peaks for 2θ = 5–70°, sorted by position:
d 3.000, 29.8 deg, rel. 100.0
d 2.604, 34.4 deg, rel. 17.0
d 2.596, 34.6 deg, rel. 33.7
d 1.839, 49.6 deg, rel. 18.3
d 1.836, 49.7 deg, rel. 18.1
d 1.569, 58.9 deg, rel. 14.5
d 1.566, 59.0 deg, rel. 21.7
d 1.564, 59.1 deg, rel. 7.2
d 1.500, 61.8 deg, rel. 12.5

Crystal structure
```
data_Tb2Pr5Nd2
_chemical_formula_sum 'Tb4 Pr10 Nd4'
_space_group_name_H-M_alt 'C 1 2/m 1'
_space_group_IT_number 12
_cell_length_a 11.642
_cell_length_b 5.198
_cell_length_c 11.013
_cell_angle_alpha 90.00
_cell_angle_beta 108.62
_cell_angle_gamma 90.00
loop_
_space_group_symop_operation_xyz
'x,y,z'
'-x,-y,-z'
'-x,y,-z'
'x,-y,z'
'x+1/2,y+1/2,z'
'-x+1/2,-y+1/2,-z'
'-x+1/2,y+1/2,-z'
'x+1/2,-y+1/2,z'
loop_
_atom_site_label
_atom_site_fract_x
_atom_site_fract_y
_atom_site_fract_z
_atom_site_occupancy
Tb1 0.167 0.000 0.223 1
Pr1 0.000 0.500 0.000 1
Pr2 0.166 0.000 0.889 1
Pr3 0.167 0.000 0.555 1
Nd1 0.001 0.500 0.668 1
```



The following is a computed X-ray diffraction stick pattern of LaTc2. It was derived from DFT lattice parameters and positions (GGA-PBE), using Cu Kα X-rays.
No peak broadening, texture or thermal motion is included.

Top 10 peaks for 2θ = 5–70°, sorted by position:
d 2.721, 32.9 deg, rel. 100.0
d 2.656, 33.8 deg, rel. 59.8
d 2.500, 35.9 deg, rel. 14.2
d 2.371, 38.0 deg, rel. 38.5
d 2.259, 39.9 deg, rel. 37.1
d 2.152, 42.0 deg, rel. 31.2
d 1.688, 54.4 deg, rel. 15.1
d 1.671, 54.9 deg, rel. 16.2
d 1.594, 57.9 deg, rel. 22.0
d 1.461, 63.7 deg, rel. 31.8

Crystal structure
```
data_LaTc2
_chemical_formula_sum 'La4 Tc8'
_space_group_name_H-M_alt 'I m m a'
_space_group_IT_number 74
_space_group_name_Hall '-I 2b 2'
_cell_length_a 4.305
_cell_length_b 7.450
_cell_length_c 7.963
_cell_angle_alpha 90.00
_cell_angle_beta 90.00
_cell_angle_gamma 90.00
loop_
_atom_site_label
_atom_site_fract_x
_atom_site_fract_y
_atom_site_fract_z
_atom_site_occupancy
La1 0.000 0.250 0.067 1
Tc1 0.000 0.086 0.666 1
```



What is the formula in the second record?
BaAc2Re2N6